Entry 1:
Structure and calculated powder X-ray diffraction pattern of In2CuAsSe2 (the PBE geometry in Alexandria; Cu Ka).
Peak positions follow from Bragg's law for the DFT cell and can differ from measured ones.

Top 8 peaks for 10 to 90 degrees two-theta, by angle:
- 2θ = 25.8°, I 100
- 2θ = 42.5°, I 26
- 2θ = 42.8°, I 46
- 2θ = 50.3°, I 31
- 2θ = 51.0°, I 13
- 2θ = 61.6°, I 8
- 2θ = 68.4°, I 10
- 2θ = 77.9°, I 15

Crystal structure
Unit cell a=9.384 b=9.384 c=9.384 alpha=153.78 beta=153.78 gamma=37.43
Sites, in units of the cell vectors:
1 In 0.161 0.161 0.000
2 In 0.839 0.839 0.000
3 Cu 0.500 0.500 0.000
4 As 0.750 0.250 0.500
5 Se 0.070 0.570 0.500
6 Se 0.430 0.930 0.500

Entry 2:
Structure and calculated powder X-ray diffraction pattern of NdTl2Hg9 (the PBE geometry in Alexandria; Cu Ka).
Peak positions follow from Bragg's law for the DFT cell and can differ from measured ones.

Top 8 peaks for 10 to 90 degrees two-theta, by angle:
- 2θ = 32.4°, I 100
- 2θ = 36.4°, I 17
- 2θ = 38.2°, I 33
- 2θ = 53.8°, I 23
- 2θ = 55.1°, I 12
- 2θ = 63.1°, I 13
- 2θ = 65.4°, I 27
- 2θ = 67.9°, I 12

Crystal structure
Unit cell a=4.714 b=4.714 c=14.795 alpha=90.00 beta=90.00 gamma=90.00
Sites, in units of the cell vectors:
1 Nd 0.000 0.000 0.000
2 Tl 0.000 0.000 0.331
3 Tl 0.000 0.000 0.669
4 Hg 0.000 0.500 0.158
5 Hg 0.000 0.500 0.500
6 Hg 0.000 0.500 0.842
7 Hg 0.500 0.000 0.158
8 Hg 0.500 0.000 0.500
9 Hg 0.500 0.000 0.842
10 Hg 0.500 0.500 0.000
11 Hg 0.500 0.500 0.322
12 Hg 0.500 0.500 0.678

Entry 3:
Structure and calculated powder X-ray diffraction pattern of Sr2Ca7Cd (the PBE geometry in Alexandria; Cu Ka).
Peak positions follow from Bragg's law for the DFT cell and can differ from measured ones.

Top 8 peaks for 10 to 90 degrees two-theta, by angle:
- 2θ = 20.2°, I 86
- 2θ = 24.7°, I 42
- 2θ = 28.7°, I 100
- 2θ = 35.3°, I 41
- 2θ = 41.0°, I 72
- 2θ = 50.8°, I 24
- 2θ = 55.2°, I 24
- 2θ = 67.2°, I 29

Crystal structure
Unit cell a=8.812 b=8.812 c=8.812 alpha=60.00 beta=60.00 gamma=60.00
Sites, in units of the cell vectors:
1 Sr 0.250 0.250 0.250
2 Sr 0.750 0.750 0.750
3 Ca 0.000 0.000 0.000
4 Ca 0.263 0.263 0.737
5 Ca 0.263 0.737 0.263
6 Ca 0.263 0.737 0.737
7 Ca 0.737 0.263 0.263
8 Ca 0.737 0.263 0.737
9 Ca 0.737 0.737 0.263
10 Cd 0.500 0.500 0.500

Entry 4:
Structure and calculated powder X-ray diffraction pattern of NaLi2IrC (the PBE geometry in Alexandria; Cu Ka).
Peak positions follow from Bragg's law for the DFT cell and can differ from measured ones.

Top 8 peaks for 10 to 90 degrees two-theta, by angle:
- 2θ = 20.4°, I 100
- 2θ = 22.8°, I 45
- 2θ = 29.1°, I 63
- 2θ = 30.8°, I 55
- 2θ = 37.3°, I 65
- 2θ = 41.6°, I 29
- 2θ = 47.9°, I 26
- 2θ = 52.6°, I 26

Crystal structure
Unit cell a=4.345 b=4.345 c=3.898 alpha=90.00 beta=90.00 gamma=90.00
Sites, in units of the cell vectors:
1 Na 0.000 0.000 0.000
2 Li 0.000 0.500 0.500
3 Li 0.500 0.000 0.500
4 Ir 0.500 0.500 0.000
5 C 0.500 0.500 0.500

Entry 5:
Structure and calculated powder X-ray diffraction pattern of PaAgPd14 (the PBE geometry in Alexandria; Cu Ka).
Peak positions follow from Bragg's law for the DFT cell and can differ from measured ones.

Top 8 peaks for 10 to 90 degrees two-theta, by angle:
- 2θ = 38.9°, I 100
- 2θ = 44.6°, I 34
- 2θ = 46.5°, I 15
- 2θ = 64.9°, I 11
- 2θ = 66.4°, I 20
- 2θ = 78.3°, I 25
- 2θ = 81.0°, I 12
- 2θ = 83.5°, I 11

Crystal structure
Unit cell a=5.751 b=5.751 c=7.815 alpha=90.00 beta=90.00 gamma=90.00
Sites, in units of the cell vectors:
1 Pa 0.000 0.000 0.000
2 Ag 0.500 0.500 0.000
3 Pd 0.000 0.000 0.500
4 Pd 0.000 0.500 0.000
5 Pd 0.000 0.500 0.500
6 Pd 0.248 0.248 0.252
7 Pd 0.248 0.248 0.748
8 Pd 0.248 0.752 0.252
9 Pd 0.248 0.752 0.748
10 Pd 0.500 0.000 0.000
11 Pd 0.500 0.000 0.500
12 Pd 0.500 0.500 0.500
13 Pd 0.752 0.248 0.252
14 Pd 0.752 0.248 0.748
15 Pd 0.752 0.752 0.252
16 Pd 0.752 0.752 0.748

Entry 6:
Structure and calculated powder X-ray diffraction pattern of SrPa2S6 (the PBE geometry in Alexandria; Cu Ka).
Peak positions follow from Bragg's law for the DFT cell and can differ from measured ones.

Top 8 peaks for 10 to 90 degrees two-theta, by angle:
- 2θ = 11.4°, I 94
- 2θ = 18.7°, I 65
- 2θ = 19.3°, I 44
- 2θ = 19.5°, I 89
- 2θ = 24.1°, I 66
- 2θ = 26.1°, I 100
- 2θ = 34.2°, I 45
- 2θ = 39.4°, I 46

Crystal structure
Unit cell a=7.282 b=7.282 c=9.328 alpha=121.32 beta=121.32 gamma=42.19
Sites, in units of the cell vectors:
1 Sr 0.000 0.000 0.000
2 Pa 0.178 0.178 0.603
3 Pa 0.822 0.822 0.397
4 S 0.028 0.028 0.698
5 S 0.286 0.286 0.423
6 S 0.351 0.351 0.905
7 S 0.649 0.649 0.095
8 S 0.714 0.714 0.577
9 S 0.972 0.972 0.302